# 1
Diffraction record for Th3Pa. The powder diffractogram is calculated, not measured: it uses a PBE-relaxed structure and a wavelength of 1.5418 Å.
Intensities are scaled so that the largest is 1000.

Structure:
a b c (Å): 4.927 4.927 9.877
angles (deg): 90.00 90.00 90.00
Fractional coordinates of all 8 atoms:
Th 0.000 0.000 0.000
Th 0.000 0.500 0.250
Th 0.000 0.500 0.750
Th 0.500 0.000 0.250
Th 0.500 0.000 0.750
Th 0.500 0.500 0.500
Pa 0.000 0.000 0.500
Pa 0.500 0.500 0.000

Most intense lines, 5 to 70 degrees two-theta, sorted by position:
| Position (°2θ) | d (Å) | I (rel.) |
| --- | --- | --- |
| 31.42 | 2.847 | 1000 |
| 36.44 | 2.465 | 509 |
| 52.49 | 1.743 | 368 |
| 62.39 | 1.488 | 148 |
| 62.51 | 1.486 | 293 |
| 65.59 | 1.423 | 127 |

# 2
Diffraction record for ThPaTl. The powder diffractogram is calculated, not measured: it uses a PBE-relaxed structure and a wavelength of 1.5418 Å.
Intensities are scaled so that the largest is 1000.

Structure:
a b c (Å): 5.945 3.367 8.595
angles (deg): 90.00 90.00 90.00
Fractional coordinates of all 6 atoms:
Th 0.250 0.000 0.184
Th 0.750 0.000 0.816
Pa 0.250 0.500 0.853
Pa 0.750 0.500 0.147
Tl 0.000 0.500 0.500
Tl 0.500 0.500 0.500

Most intense lines, 5 to 70 degrees two-theta, sorted by position:
| Position (°2θ) | d (Å) | I (rel.) |
| --- | --- | --- |
| 31.22 | 2.865 | 713 |
| 31.86 | 2.809 | 634 |
| 32.28 | 2.773 | 1000 |
| 33.82 | 2.650 | 248 |
| 36.76 | 2.445 | 408 |
| 37.14 | 2.421 | 682 |
| 41.88 | 2.157 | 203 |
| 52.84 | 1.733 | 204 |
| 54.80 | 1.675 | 232 |
| 58.12 | 1.587 | 192 |